Entry 1:
For La4Sm7Tm, a DFT-relaxed cell (GGA-PBE, Alexandria) gives the calculated powder diffractogram in this record (a wavelength of 1.5418 Å).
Peak positions follow from Bragg's law for the DFT cell and can differ from measured ones.

Top 7 peaks for 5° ≤ 2θ ≤ 70°, in order of rising 2θ:
- d = 11.956 Å, I 0.8
- d = 2.986 Å, I 100.0
- d = 2.586 Å, I 50.7
- d = 1.828 Å, I 35.9
- d = 1.559 Å, I 42.7
- d = 1.494 Å, I 2.9
- d = 1.492 Å, I 9.3

Atomic structure:
```
12
Lattice="3.655 0.000 0.000 -1.827 3.165 0.000 0.000 0.000 35.868" Properties=species:S:1:pos:R:3 pbc="T T T"
La 0.000 2.110 5.913
La 0.000 2.110 14.918
La 1.827 1.055 20.949
La 1.827 1.055 29.954
Sm 0.000 0.000 8.951
Sm 0.000 0.000 17.934
Sm 0.000 0.000 26.916
Sm 0.000 2.110 23.980
Sm 0.000 2.110 33.009
Sm 1.827 1.055 2.858
Sm 1.827 1.055 11.887
Tm 0.000 0.000 0.000
```

***

Entry 2:
For Tb6Pt5Au, a DFT-relaxed cell (GGA-PBE, Alexandria) gives the calculated powder diffractogram in this record (a wavelength of 1.5418 Å).
Peak positions follow from Bragg's law for the DFT cell and can differ from measured ones.

Top 10 peaks for 5° ≤ 2θ ≤ 70°, in order of rising 2θ:
- d = 3.531 Å, I 1.0
- d = 2.495 Å, I 100.0
- d = 2.484 Å, I 19.7
- d = 1.767 Å, I 7.2
- d = 1.763 Å, I 7.1
- d = 1.758 Å, I 7.1
- d = 1.442 Å, I 14.8
- d = 1.440 Å, I 14.7
- d = 1.437 Å, I 7.2
- d = 1.435 Å, I 7.2

Atomic structure:
```
12
Lattice="4.993 0.000 0.000 0.000 7.070 0.000 -2.476 0.000 7.453" Properties=species:S:1:pos:R:3 pbc="T T T"
Tb 0.000 1.731 0.000
Tb 0.000 5.339 0.000
Tb 0.011 1.753 4.935
Tb 0.011 5.317 4.935
Tb 2.505 1.753 2.517
Tb 2.505 5.317 2.517
Pt 0.009 3.535 2.451
Pt 0.010 0.000 2.493
Pt 2.496 0.000 0.000
Pt 2.507 0.000 4.959
Pt 2.507 3.535 5.001
Au 2.496 3.535 0.000
```

***

Entry 3:
For Sm6Y2Se3, a DFT-relaxed cell (GGA-PBE, Alexandria) gives the calculated powder diffractogram in this record (a wavelength of 1.5418 Å).
Peak positions follow from Bragg's law for the DFT cell and can differ from measured ones.

Top 10 peaks for 5° ≤ 2θ ≤ 70°, in order of rising 2θ:
- d = 3.175 Å, I 25.3
- d = 3.030 Å, I 100.0
- d = 2.867 Å, I 32.4
- d = 2.754 Å, I 15.7
- d = 2.585 Å, I 28.4
- d = 2.267 Å, I 14.6
- d = 2.124 Å, I 21.4
- d = 1.943 Å, I 48.2
- d = 1.836 Å, I 15.0
- d = 1.635 Å, I 16.1

Atomic structure:
```
11
Lattice="1.943 1.122 25.569 -1.943 1.122 25.569 0.000 -2.243 25.569" Properties=species:S:1:pos:R:3 pbc="T T T"
Sm 0.000 0.000 5.638
Sm 0.000 0.000 14.202
Sm 0.000 0.000 27.458
Sm 0.000 0.000 49.249
Sm 0.000 0.000 62.505
Sm 0.000 0.000 71.068
Y 0.000 0.000 34.080
Y 0.000 0.000 42.626
Se 0.000 0.000 0.000
Se 0.000 0.000 21.831
Se 0.000 0.000 54.876
```

***

Entry 4:
For Li3Cd3Bi, a DFT-relaxed cell (GGA-PBE, Alexandria) gives the calculated powder diffractogram in this record (a wavelength of 1.5418 Å).
Peak positions follow from Bragg's law for the DFT cell and can differ from measured ones.

Top 10 peaks for 5° ≤ 2θ ≤ 70°, in order of rising 2θ:
- d = 5.131 Å, I 63.7
- d = 4.935 Å, I 79.4
- d = 4.331 Å, I 71.1
- d = 3.125 Å, I 73.7
- d = 2.886 Å, I 94.8
- d = 2.606 Å, I 60.7
- d = 2.468 Å, I 37.0
- d = 2.401 Å, I 100.0
- d = 2.248 Å, I 76.9
- d = 1.712 Å, I 50.0

Atomic structure:
```
14
Lattice="3.003 1.734 10.426 -3.003 1.734 10.426 0.000 -3.467 10.426" Properties=species:S:1:pos:R:3 pbc="T T T"
Li 0.000 -1.711 11.803
Li -1.482 0.856 11.803
Li -1.482 -0.856 19.475
Li 1.482 0.856 11.803
Li 1.482 -0.856 19.475
Li 0.000 1.711 19.475
Cd -1.513 -0.873 14.368
Cd 0.000 -1.747 16.910
Cd -1.513 0.873 16.910
Cd 1.513 -0.873 14.368
Cd 0.000 1.747 14.368
Cd 1.513 0.873 16.910
Bi 0.000 0.000 9.357
Bi 0.000 0.000 21.921
```

***

Entry 5:
For B5Ir7, a DFT-relaxed cell (GGA-PBE, Alexandria) gives the calculated powder diffractogram in this record (a wavelength of 1.5418 Å).
Peak positions follow from Bragg's law for the DFT cell and can differ from measured ones.

Top 10 peaks for 5° ≤ 2θ ≤ 70°, in order of rising 2θ:
- d = 2.697 Å, I 55.0
- d = 2.687 Å, I 30.4
- d = 2.672 Å, I 100.0
- d = 2.471 Å, I 32.7
- d = 2.279 Å, I 30.6
- d = 2.207 Å, I 36.5
- d = 2.172 Å, I 54.1
- d = 2.106 Å, I 25.0
- d = 2.076 Å, I 56.0
- d = 2.047 Å, I 30.5

Atomic structure:
```
12
Lattice="2.780 0.000 0.000 -1.378 5.988 0.000 -1.389 -1.262 8.425" Properties=species:S:1:pos:R:3 pbc="T T T"
B 0.000 0.000 0.000
B -1.377 4.994 3.718
B 0.004 2.046 1.956
B 0.008 2.680 6.468
B 1.390 -0.268 4.706
Ir -1.386 0.994 6.328
Ir -1.378 4.413 5.730
Ir -1.376 3.131 8.201
Ir 0.006 2.363 4.212
Ir 1.388 1.596 0.224
Ir 1.391 0.313 2.694
Ir 1.398 3.732 2.096
```